Record 1
This entry pairs a crystal structure of SiO2 with its simulated powder diffraction line list. Radiation: Cu Kα. Structure: a structure optimized by DFT (PBE).

Structure:
Lattice parameters (Å, degrees): 9.9051 9.9051 8.4776 90.00 90.00 90.00
Element x y z (fractional)
Si: 0.1208 0.1704 0.1873
Si: 0.1208 0.1704 0.8127
Si: 0.1704 0.8792 0.3127
Si: 0.1704 0.8792 0.6873
Si: 0.3296 0.3792 0.3127
Si: 0.3296 0.3792 0.6873
Si: 0.3792 0.6704 0.1873
Si: 0.3792 0.6704 0.8127
Si: 0.6208 0.3296 0.1873
Si: 0.6208 0.3296 0.8127
Si: 0.6704 0.6208 0.3127
Si: 0.6704 0.6208 0.6873
Si: 0.8296 0.1208 0.3127
Si: 0.8296 0.1208 0.6873
Si: 0.8792 0.8296 0.1873
Si: 0.8792 0.8296 0.8127
O: 0.0413 0.8172 0.2180
O: 0.0413 0.8172 0.7820
O: 0.1465 0.1499 0.0000
O: 0.1499 0.8535 0.5000
O: 0.1828 0.0413 0.2820
O: 0.1828 0.0413 0.7180
O: 0.1930 0.3070 0.2500
O: 0.1930 0.3070 0.7500
O: 0.3070 0.8070 0.2500
O: 0.3070 0.8070 0.7500
O: 0.3172 0.5413 0.2820
O: 0.3172 0.5413 0.7180
O: 0.3501 0.3535 0.5000
O: 0.3535 0.6499 0.0000
O: 0.4587 0.3172 0.2180
O: 0.4587 0.3172 0.7820
O: 0.5413 0.6828 0.2180
O: 0.5413 0.6828 0.7820
O: 0.6465 0.3501 0.0000
O: 0.6499 0.6465 0.5000
O: 0.6828 0.4587 0.2820
O: 0.6828 0.4587 0.7180
O: 0.6930 0.1930 0.2500
O: 0.6930 0.1930 0.7500
O: 0.8070 0.6930 0.2500
O: 0.8070 0.6930 0.7500
O: 0.8172 0.9587 0.2820
O: 0.8172 0.9587 0.7180
O: 0.8501 0.1465 0.5000
O: 0.8535 0.8501 0.0000
O: 0.9587 0.1828 0.2180
O: 0.9587 0.1828 0.7820

Main lines, by intensity (2θ = 10–80°):
two_theta, intensity
12.64, 100
20.96, 54
22.65, 49
28.50, 36
17.91, 25
20.04, 10
36.28, 9
24.55, 9
36.61, 8
58.27, 7

Record 2
This entry pairs a crystal structure of Pr2SbO5F with its simulated powder diffraction line list. Radiation: Cu Kα. Structure: a structure optimized by DFT (PBE).

Structure:
Lattice parameters (Å, degrees): 7.1054 6.6923 10.2365 90.00 93.61 90.00
Element x y z (fractional)
Pr: 0.1228 0.0000 0.0346
Pr: 0.1305 0.8096 0.6614
Pr: 0.3723 0.1805 0.4650
Pr: 0.3727 0.3701 0.8392
Pr: 0.6273 0.8701 0.1608
Pr: 0.6277 0.6805 0.5350
Pr: 0.8695 0.3096 0.3386
Pr: 0.8772 0.5000 0.9654
Sb: 0.1128 0.7406 0.3226
Sb: 0.3904 0.4439 0.1784
Sb: 0.6096 0.9439 0.8216
Sb: 0.8872 0.2406 0.6774
O: 0.0482 0.1603 0.5356
O: 0.0558 0.0182 0.2724
O: 0.0828 0.1481 0.8136
O: 0.1940 0.3549 0.0416
O: 0.1995 0.4413 0.3236
O: 0.3002 0.7426 0.1750
O: 0.3095 0.8247 0.4614
O: 0.4154 0.0469 0.6880
O: 0.4477 0.0222 0.9639
O: 0.4651 0.1732 0.2330
O: 0.5349 0.6732 0.7670
O: 0.5523 0.5222 0.0361
O: 0.5846 0.5469 0.3120
O: 0.6905 0.3247 0.5386
O: 0.6998 0.2426 0.8250
O: 0.8005 0.9413 0.6764
O: 0.8060 0.8549 0.9584
O: 0.9172 0.6481 0.1864
O: 0.9442 0.5182 0.7276
O: 0.9518 0.6603 0.4644
F: 0.1686 0.7079 0.8931
F: 0.3243 0.4690 0.6078
F: 0.6757 0.9690 0.3922
F: 0.8314 0.2079 0.1069

Main lines, by intensity (2θ = 10–80°):
two_theta, intensity
28.49, 100
25.82, 44
28.06, 43
28.35, 43
29.37, 34
43.61, 32
31.40, 30
34.03, 29
51.51, 28
29.81, 28

Record 3
This entry pairs a crystal structure of Er2MgCuGe4O12 with its simulated powder diffraction line list. Radiation: Cu Kα. Structure: a structure optimized by DFT (PBE).

Structure:
Lattice parameters (Å, degrees): 5.2390 7.5152 8.0793 65.21 87.21 77.17
Element x y z (fractional)
Er: 0.0321 0.2758 0.4345
Er: 0.9679 0.7242 0.5655
Mg: 0.5000 0.5000 0.0000
Cu: 0.0000 0.5000 0.0000
Ge: 0.4141 0.9052 0.7817
Ge: 0.4474 0.6650 0.2504
Ge: 0.5526 0.3350 0.7496
Ge: 0.5859 0.0948 0.2183
O: 0.1707 0.9425 0.6208
O: 0.1998 0.5750 0.3963
O: 0.2870 0.5122 0.7839
O: 0.2982 0.2905 0.2010
O: 0.2984 0.7761 0.0139
O: 0.4267 0.1692 0.6838
O: 0.5733 0.8308 0.3162
O: 0.7016 0.2239 0.9861
O: 0.7018 0.7095 0.7990
O: 0.7130 0.4878 0.2161
O: 0.8002 0.4250 0.6037
O: 0.8293 0.0575 0.3792

Main lines, by intensity (2θ = 10–80°):
two_theta, intensity
26.67, 100
30.76, 53
12.08, 45
24.02, 42
29.29, 39
20.71, 38
33.96, 32
21.72, 27
35.33, 27
47.43, 24

Record 4
This entry pairs a crystal structure of CdPt9O12 with its simulated powder diffraction line list. Radiation: Cu Kα. Structure: a structure optimized by DFT (PBE).

Structure:
Lattice parameters (Å, degrees): 5.7356 5.7531 17.1593 90.00 90.00 90.00
Element x y z (fractional)
Cd: 0.0000 0.0000 0.1677
Cd: 0.0000 0.0000 0.8323
Pt: 0.0000 0.5000 0.0814
Pt: 0.0000 0.5000 0.2541
Pt: 0.0000 0.5000 0.4173
Pt: 0.0000 0.5000 0.5827
Pt: 0.0000 0.5000 0.7459
Pt: 0.0000 0.5000 0.9186
Pt: 0.2524 0.0000 0.3377
Pt: 0.2524 0.0000 0.6623
Pt: 0.2576 0.0000 0.0000
Pt: 0.5000 0.2536 0.5000
Pt: 0.5000 0.2570 0.1685
Pt: 0.5000 0.2570 0.8315
Pt: 0.5000 0.7430 0.1685
Pt: 0.5000 0.7430 0.8315
Pt: 0.5000 0.7464 0.5000
Pt: 0.7424 0.0000 0.0000
Pt: 0.7476 0.0000 0.3377
Pt: 0.7476 0.0000 0.6623
O: 0.2400 0.2396 0.2494
O: 0.2400 0.2396 0.7506
O: 0.2400 0.7604 0.2494
O: 0.2400 0.7604 0.7506
O: 0.2419 0.2415 0.0868
O: 0.2419 0.2415 0.9132
O: 0.2419 0.7585 0.0868
O: 0.2419 0.7585 0.9132
O: 0.2502 0.2527 0.4182
O: 0.2502 0.2527 0.5818
O: 0.2502 0.7473 0.4182
O: 0.2502 0.7473 0.5818
O: 0.7498 0.2527 0.4182
O: 0.7498 0.2527 0.5818
O: 0.7498 0.7473 0.4182
O: 0.7498 0.7473 0.5818
O: 0.7581 0.2415 0.0868
O: 0.7581 0.2415 0.9132
O: 0.7581 0.7585 0.0868
O: 0.7581 0.7585 0.9132
O: 0.7600 0.2396 0.2494
O: 0.7600 0.2396 0.7506
O: 0.7600 0.7604 0.2494
O: 0.7600 0.7604 0.7506

Main lines, by intensity (2θ = 10–80°):
two_theta, intensity
35.03, 100
34.92, 92
21.91, 49
55.49, 41
38.41, 35
57.89, 26
58.06, 21
38.50, 18
60.45, 15
60.30, 14

Record 5
This entry pairs a crystal structure of MnBr2 with its simulated powder diffraction line list. Radiation: Cu Kα. Structure: a structure optimized by DFT (PBE).

Structure:
Lattice parameters (Å, degrees): 7.0793 7.0793 7.0793 31.79 31.79 31.79
Element x y z (fractional)
Mn: 0.0000 0.0000 0.0000
Br: 0.2581 0.2581 0.2581
Br: 0.7419 0.7419 0.7419

Main lines, by intensity (2θ = 10–80°):
two_theta, intensity
32.03, 100
13.18, 42
28.00, 35
46.85, 34
44.99, 34
57.88, 17
54.66, 15
77.55, 14
41.31, 13
74.80, 12

Record 6
This entry pairs a crystal structure of V3Se4 with its simulated powder diffraction line list. Radiation: Cu Kα. Structure: a structure optimized by DFT (PBE).

Structure:
Lattice parameters (Å, degrees): 6.8952 6.8952 6.1865 115.09 115.09 28.59
Element x y z (fractional)
V: 0.0000 0.0000 0.0000
V: 0.2552 0.2552 0.3232
V: 0.7448 0.7448 0.6768
Se: 0.1072 0.1072 0.4524
Se: 0.3588 0.3588 0.0201
Se: 0.6412 0.6412 0.9799
Se: 0.8928 0.8928 0.5476

Main lines, by intensity (2θ = 10–80°):
two_theta, intensity
33.36, 100
32.95, 52
43.02, 50
33.73, 49
51.85, 46
42.41, 46
32.18, 46
53.85, 37
40.66, 18
34.58, 17

Record 7
This entry pairs a crystal structure of HfTiN2 with its simulated powder diffraction line list. Radiation: Cu Kα. Structure: a structure optimized by DFT (PBE).

Structure:
Lattice parameters (Å, degrees): 3.1254 3.1254 4.4148 90.00 90.00 90.00
Element x y z (fractional)
Hf: 0.0000 0.0000 0.0000
Ti: 0.5000 0.5000 0.5000
N: 0.0000 0.0000 0.5000
N: 0.5000 0.5000 0.0000

Main lines, by intensity (2θ = 10–80°):
two_theta, intensity
35.18, 100
40.85, 80
59.14, 51
20.11, 42
70.72, 41
28.56, 36
45.92, 21
74.38, 17
50.63, 16
63.13, 11